# 1
SrTiNbSnO6: simulated powder diffraction line list (Cu Kα X-rays), based on a cell relaxed with PBE.
Kinematic intensities with the Lorentz-polarization factor, no thermal factor.

Peak list (8 most intense, 2θ from 5° to 70°, in order of rising 2θ)
| hkl | Position (°2θ) | Rel. int. |
| --- | --- | --- |
| 1 1 1 | 19.1 | 7 |
| 2 2 0 | 31.5 | 100 |
| 3 1 1 | 37.1 | 4 |
| 2 2 2 | 38.8 | 10 |
| 4 0 0 | 45.1 | 36 |
| 3 3 1 | 49.4 | 2 |
| 4 2 2 | 56.0 | 40 |
| 4 4 0 | 65.7 | 21 |

Cell and atoms:
```
data_SrTiNbSnO6
_chemical_formula_sum 'Sr4 Ti4 Nb4 Sn4 O24'
_cell_length_a 8.0442
_cell_length_b 8.0442
_cell_length_c 8.0442
_cell_angle_alpha 90.00
_cell_angle_beta 90.00
_cell_angle_gamma 90.00
_space_group_name_H-M_alt 'F -4 3 m'
_space_group_IT_number 216
_space_group_name_Hall 'F -4 2 3'
loop_
_atom_site_label
_atom_site_type_symbol
_atom_site_fract_x
_atom_site_fract_y
_atom_site_fract_z
_atom_site_occupancy
Sr1 Sr 0.0000 0.0000 0.0000 1
Ti1 Ti 0.2500 0.2500 0.2500 1
Nb1 Nb 0.2500 0.2500 0.7500 1
Sn1 Sn 0.0000 0.0000 0.5000 1
O1 O 0.0025 0.2500 0.2500 1
```

---

# 2
TiNbSn2O6: simulated powder diffraction line list (Cu Kα X-rays), based on a cell relaxed with PBE.
Kinematic intensities with the Lorentz-polarization factor, no thermal factor.

Peak list (8 most intense, 2θ from 5° to 70°, in order of rising 2θ)
| hkl | Position (°2θ) | Rel. int. |
| --- | --- | --- |
| 1 1 1 | 19.1 | 4 |
| 2 0 0 | 22.1 | 3 |
| 2 2 0 | 31.5 | 100 |
| 2 2 2 | 38.8 | 12 |
| 4 0 0 | 45.1 | 34 |
| 4 2 0 | 50.8 | 3 |
| 4 2 2 | 56.0 | 40 |
| 4 4 0 | 65.7 | 21 |

Cell and atoms:
```
data_TiNbSn2O6
_chemical_formula_sum 'Ti4 Nb4 Sn8 O24'
_cell_length_a 8.0440
_cell_length_b 8.0440
_cell_length_c 8.0440
_cell_angle_alpha 90.00
_cell_angle_beta 90.00
_cell_angle_gamma 90.00
_space_group_name_H-M_alt 'F m -3 m'
_space_group_IT_number 225
_space_group_name_Hall '-F 4 2 3'
loop_
_atom_site_label
_atom_site_type_symbol
_atom_site_fract_x
_atom_site_fract_y
_atom_site_fract_z
_atom_site_occupancy
Ti1 Ti 0.0000 0.0000 0.0000 1
Nb1 Nb 0.0000 0.0000 0.5000 1
Sn1 Sn 0.2500 0.2500 0.2500 1
O1 O 0.0000 0.0000 0.2474 1
```

---

# 3
Sr3NbO6: simulated powder diffraction line list (Cu Kα X-rays), based on a cell relaxed with PBE.
Kinematic intensities with the Lorentz-polarization factor, no thermal factor.

Peak list (8 most intense, 2θ from 5° to 70°, in order of rising 2θ)
| hkl | Position (°2θ) | Rel. int. |
| --- | --- | --- |
| 1 1 1 | 17.6 | 1 |
| 2 0 0 | 20.4 | 2 |
| 2 2 0 | 29.0 | 100 |
| 2 2 2 | 35.7 | 3 |
| 4 0 0 | 41.4 | 35 |
| 4 2 2 | 51.3 | 40 |
| 4 4 0 | 60.0 | 22 |
| 6 2 0 | 68.0 | 19 |

Cell and atoms:
```
data_Sr3NbO6
_chemical_formula_sum 'Sr12 Nb4 O24'
_cell_length_a 8.7226
_cell_length_b 8.7226
_cell_length_c 8.7226
_cell_angle_alpha 90.00
_cell_angle_beta 90.00
_cell_angle_gamma 90.00
_space_group_name_H-M_alt 'F m -3 m'
_space_group_IT_number 225
_space_group_name_Hall '-F 4 2 3'
loop_
_atom_site_label
_atom_site_type_symbol
_atom_site_fract_x
_atom_site_fract_y
_atom_site_fract_z
_atom_site_occupancy
Sr1 Sr 0.0000 0.0000 0.0000 1
Sr2 Sr 0.2500 0.2500 0.2500 1
Nb1 Nb 0.0000 0.0000 0.5000 1
O1 O 0.0000 0.0000 0.2707 1
```

---

# 4
Sr2Nb5O9: simulated powder diffraction line list (Cu Kα X-rays), based on a cell relaxed with PBE.
Kinematic intensities with the Lorentz-polarization factor, no thermal factor.

Peak list (8 most intense, 2θ from 5° to 70°, in order of rising 2θ)
| hkl | Position (°2θ) | Rel. int. |
| --- | --- | --- |
| 0 0 1 | 7.3 | 36 |
| 1 0 3 | 30.6 | 100 |
| 1 1 1 | 31.0 | 36 |
| 1 1 2 | 33.6 | 29 |
| 2 0 0 | 43.1 | 61 |
| 0 0 6 | 44.6 | 27 |
| 2 1 3 | 53.8 | 40 |
| 2 0 6 | 63.7 | 34 |

Cell and atoms:
```
data_Sr2Nb5O9
_chemical_formula_sum 'Sr2 Nb5 O9'
_cell_length_a 4.1996
_cell_length_b 4.1996
_cell_length_c 12.1868
_cell_angle_alpha 90.00
_cell_angle_beta 90.00
_cell_angle_gamma 90.00
_space_group_name_H-M_alt 'P 4/m m m'
_space_group_IT_number 123
_space_group_name_Hall '-P 4 2'
loop_
_atom_site_label
_atom_site_type_symbol
_atom_site_fract_x
_atom_site_fract_y
_atom_site_fract_z
_atom_site_occupancy
Sr1 Sr 0.0000 0.0000 0.1693 1
Nb1 Nb 0.0000 0.5000 0.5000 1
Nb2 Nb 0.5000 0.5000 0.0000 1
Nb3 Nb 0.5000 0.5000 0.3354 1
O1 O 0.0000 0.0000 0.5000 1
O2 O 0.0000 0.5000 0.0000 1
O3 O 0.0000 0.5000 0.3229 1
O4 O 0.5000 0.5000 0.1619 1
```

---

# 5
Sr5Nb4O15: simulated powder diffraction line list (Cu Kα X-rays), based on a cell relaxed with PBE.
Kinematic intensities with the Lorentz-polarization factor, no thermal factor.

Peak list (8 most intense, 2θ from 5° to 70°, in order of rising 2θ)
| hkl | Position (°2θ) | Rel. int. |
| --- | --- | --- |
| 0 1 6 | 29.2 | 100 |
| 1 1 0 | 31.2 | 78 |
| 2 0 6 | 43.2 | 55 |
| 1 0 12 | 50.5 | 24 |
| 1 2 6 | 54.3 | 36 |
| 3 0 0 | 55.5 | 19 |
| 2 2 0 | 65.0 | 15 |
| 2 1 12 | 69.7 | 17 |

Cell and atoms:
```
data_Sr5Nb4O15
_chemical_formula_sum 'Sr10 Nb8 O30'
_cell_length_a 5.7379
_cell_length_b 5.7379
_cell_length_c 23.2970
_cell_angle_alpha 90.00
_cell_angle_beta 90.00
_cell_angle_gamma 120.00
_space_group_name_H-M_alt 'P -3 c 1'
_space_group_IT_number 165
_space_group_name_Hall '-P 3 2"c'
loop_
_atom_site_label
_atom_site_type_symbol
_atom_site_fract_x
_atom_site_fract_y
_atom_site_fract_z
_atom_site_occupancy
Sr1 Sr 0.0000 0.0000 0.2500 1
Sr2 Sr 0.3333 0.6667 0.1402 1
Sr3 Sr 0.3333 0.6667 0.4709 1
Nb1 Nb 0.0000 0.0000 0.0908 1
Nb2 Nb 0.3333 0.6667 0.3026 1
O1 O 0.0000 0.4560 0.2500 1
O2 O 0.1009 0.3328 0.0551 1
O3 O 0.1183 0.3312 0.8463 1
```

---

# 6
Sr5Nb4O15: simulated powder diffraction line list (Cu Kα X-rays), based on a cell relaxed with PBE.
Kinematic intensities with the Lorentz-polarization factor, no thermal factor.

Peak list (8 most intense, 2θ from 5° to 70°, in order of rising 2θ)
| hkl | Position (°2θ) | Rel. int. |
| --- | --- | --- |
| 1 1 -3 | 29.1 | 82 |
| 2 0 3 | 29.3 | 40 |
| 3 1 0 | 31.2 | 100 |
| 4 0 -3 | 42.9 | 24 |
| 2 2 3 | 43.3 | 49 |
| 1 1 6 | 50.5 | 19 |
| 4 2 -3 | 54.0 | 15 |
| 6 0 0 | 55.4 | 20 |

Cell and atoms:
```
data_Sr5Nb4O15
_chemical_formula_sum 'Sr10 Nb8 O30'
_cell_length_a 9.9578
_cell_length_b 5.7360
_cell_length_c 11.6717
_cell_angle_alpha 90.00
_cell_angle_beta 90.75
_cell_angle_gamma 90.00
_space_group_name_H-M_alt 'C 1 2/m 1'
_space_group_IT_number 12
_space_group_name_Hall '-C 2y'
loop_
_atom_site_label
_atom_site_type_symbol
_atom_site_fract_x
_atom_site_fract_y
_atom_site_fract_z
_atom_site_occupancy
Sr1 Sr 0.0000 0.0000 0.0000 1
Sr2 Sr 0.1669 0.5000 0.2197 1
Sr3 Sr 0.1699 0.5000 0.5612 1
Nb1 Nb 0.0024 0.0000 0.3204 1
Nb2 Nb 0.1647 0.5000 0.8943 1
O1 O 0.0000 0.5000 0.0000 1
O2 O 0.0768 0.2472 0.8075 1
O3 O 0.0891 0.2530 0.3928 1
O4 O 0.1661 0.0000 0.6095 1
O5 O 0.1717 0.0000 0.1966 1
O6 O 0.2500 0.2500 0.0000 1
```

---

# 7
SrNb4O6: simulated powder diffraction line list (Cu Kα X-rays), based on a cell relaxed with PBE.
Kinematic intensities with the Lorentz-polarization factor, no thermal factor.

Peak list (8 most intense, 2θ from 5° to 70°, in order of rising 2θ)
| hkl | Position (°2θ) | Rel. int. |
| --- | --- | --- |
| 0 0 1 | 5.4 | 41 |
| 1 0 4 | 30.4 | 100 |
| 1 1 3 | 34.3 | 27 |
| 1 1 4 | 37.3 | 19 |
| 2 0 0 | 42.9 | 53 |
| 0 0 8 | 44.1 | 24 |
| 2 1 4 | 53.5 | 27 |
| 2 0 8 | 63.3 | 30 |

Cell and atoms:
```
data_SrNb4O6
_chemical_formula_sum 'Sr2 Nb8 O12'
_cell_length_a 4.2159
_cell_length_b 4.2159
_cell_length_c 16.4125
_cell_angle_alpha 90.00
_cell_angle_beta 90.00
_cell_angle_gamma 90.00
_space_group_name_H-M_alt 'P 4/m m m'
_space_group_IT_number 123
_space_group_name_Hall '-P 4 2'
loop_
_atom_site_label
_atom_site_type_symbol
_atom_site_fract_x
_atom_site_fract_y
_atom_site_fract_z
_atom_site_occupancy
Sr1 Sr 0.0000 0.0000 0.1245 1
Nb1 Nb 0.0000 0.5000 0.3685 1
Nb2 Nb 0.5000 0.5000 0.0000 1
Nb3 Nb 0.5000 0.5000 0.2477 1
Nb4 Nb 0.5000 0.5000 0.5000 1
O1 O 0.0000 0.0000 0.3701 1
O2 O 0.0000 0.5000 0.0000 1
O3 O 0.0000 0.5000 0.2380 1
O4 O 0.0000 0.5000 0.5000 1
O5 O 0.5000 0.5000 0.1197 1
```

---

# 8
Sr4Nb2O9: simulated powder diffraction line list (Cu Kα X-rays), based on a cell relaxed with PBE.
Kinematic intensities with the Lorentz-polarization factor, no thermal factor.

Peak list (8 most intense, 2θ from 5° to 70°, in order of rising 2θ)
| hkl | Position (°2θ) | Rel. int. |
| --- | --- | --- |
| 0 0 2 | 11.2 | 22 |
| 0 1 4 | 28.5 | 100 |
| 1 -1 0 | 30.0 | 68 |
| 2 1 0 | 30.1 | 35 |
| 0 2 -4 | 41.7 | 17 |
| 2 2 4 | 41.9 | 35 |
| 0 0 8 | 45.9 | 24 |
| 3 0 0 | 53.4 | 20 |

Cell and atoms:
```
data_Sr4Nb2O9
_chemical_formula_sum 'Sr8 Nb4 O18'
_cell_length_a 5.9327
_cell_length_b 5.9604
_cell_length_c 15.8119
_cell_angle_alpha 90.00
_cell_angle_beta 89.98
_cell_angle_gamma 60.20
_space_group_name_H-M_alt 'P -1'
_space_group_IT_number 2
_space_group_name_Hall '-P 1'
loop_
_atom_site_label
_atom_site_type_symbol
_atom_site_fract_x
_atom_site_fract_y
_atom_site_fract_z
_atom_site_occupancy
Sr1 Sr 0.0000 0.0000 0.0000 1
Sr2 Sr 0.0000 0.0000 0.5000 1
Sr3 Sr 0.0037 0.0088 0.2476 1
Sr4 Sr 0.3342 0.3397 0.1435 1
Sr5 Sr 0.3367 0.3591 0.3669 1
Nb1 Nb 0.3313 0.3244 0.8436 1
Nb2 Nb 0.3369 0.3057 0.6509 1
O1 O 0.0398 0.5441 0.7476 1
O2 O 0.0737 0.2321 0.6122 1
O3 O 0.0762 0.2620 0.8949 1
O4 O 0.2725 0.6376 0.8967 1
O5 O 0.2776 0.5990 0.5861 1
O6 O 0.3476 0.9276 0.1053 1
O7 O 0.3537 0.9532 0.4021 1
O8 O 0.4117 0.0158 0.7504 1
O9 O 0.4494 0.6062 0.2562 1
```